# 1
# Ti2AlSi3
Computed powder XRD pattern, λ = 1.5418 Å (Cu Kα). Input: a GGA-PBE-relaxed structure.
Lines closer than 0.1° are merged.

Crystal structure
Lattice parameters (Å, degrees): 3.601 3.639 13.526 90.00 90.00 90.00
Space group Amm2 (No. 38)
One atom of each set of equivalent atoms:
Ti 0.000 0.000 0.000 (multiplicity 2)
Ti 0.500 0.000 0.193 (multiplicity 2)
Al 0.500 0.000 0.847 (multiplicity 2)
Si 0.000 0.000 0.346 (multiplicity 2)
Si 0.000 0.000 0.658 (multiplicity 2)
Si 0.500 0.000 0.534 (multiplicity 2)

The 12 most intense peaks (2θ from 5° to 70°), sorted by position:
d [Å]	I_rel	h k l
6.763	4	0 0 2
3.179	8	1 0 2
2.832	6	0 1 3
2.254	21	0 0 6
2.226	100	1 1 3
2.171	6	0 1 5
1.911	6	1 0 6
1.819	14	0 2 0
1.801	13	2 0 0
1.416	9	0 2 6
1.407	8	2 0 6
1.389	4	0 1 9



# 2
# Ca2GaHg
Computed powder XRD pattern, λ = 1.5418 Å (Cu Kα). Input: a GGA-PBE-relaxed structure.
Lines closer than 0.1° are merged.

Crystal structure
Lattice parameters (Å, degrees): 7.474 7.474 7.474 90.00 90.00 90.00
Space group Fm-3m (No. 225)
One atom of each set of equivalent atoms:
Ca 0.250 0.250 0.250 (multiplicity 8)
Ga 0.000 0.000 0.000 (multiplicity 4)
Hg 0.000 0.000 0.500 (multiplicity 4)

The 10 most intense peaks (2θ from 5° to 70°), sorted by position:
d [Å]	I_rel	h k l
4.315	28	1 1 1
3.737	33	2 0 0
2.642	100	2 2 0
2.253	16	3 1 1
2.158	11	2 2 2
1.868	18	4 0 0
1.715	7	3 3 1
1.671	15	4 2 0
1.526	36	4 2 2
1.438	6	5 1 1



# 3
# Sn3P4O14
Computed powder XRD pattern, λ = 1.5418 Å (Cu Kα). Input: a GGA-PBE-relaxed structure.
Lines closer than 0.1° are merged.

Crystal structure
Lattice parameters (Å, degrees): 5.673 7.053 8.818 80.57 87.46 67.53
Space group P-1 (No. 2)
One atom of each set of equivalent atoms:
Sn 0.000 0.000 0.000 (multiplicity 1)
Sn 0.232 0.511 0.319 (multiplicity 2)
P 0.167 0.725 0.703 (multiplicity 2)
P 0.347 0.307 0.952 (multiplicity 2)
O 0.028 0.306 0.393 (multiplicity 2)
O 0.053 0.914 0.787 (multiplicity 2)
O 0.164 0.212 0.899 (multiplicity 2)
O 0.270 0.527 0.842 (multiplicity 2)
O 0.307 0.341 0.116 (multiplicity 2)
O 0.371 0.809 0.088 (multiplicity 2)
O 0.395 0.730 0.607 (multiplicity 2)

The 12 most intense peaks (2θ from 5° to 70°), sorted by position:
d [Å]	I_rel	h k l
8.697	62	0 0 1
6.434	61	0 1 0
5.241	33	1 0 0
4.819	84	0 1 -1
4.642	36	1 1 1
3.902	100	0 1 2
3.117	92	1 -1 1
2.993	78	1 2 -1
2.899	42	0 0 3
2.889	49	1 2 2
2.853	50	-1 1 2
2.832	57	2 1 0



# 4
# HfSe3
Computed powder XRD pattern, λ = 1.5418 Å (Cu Kα). Input: a GGA-PBE-relaxed structure.
Lines closer than 0.1° are merged.

Crystal structure
Lattice parameters (Å, degrees): 5.448 3.750 10.198 90.00 96.18 90.00
Space group P2_1/m (No. 11)
One atom of each set of equivalent atoms:
Hf 0.221 0.250 0.354 (multiplicity 2)
Se 0.031 0.250 0.805 (multiplicity 2)
Se 0.260 0.750 0.549 (multiplicity 2)
Se 0.408 0.750 0.195 (multiplicity 2)

The 12 most intense peaks (2θ from 5° to 70°), sorted by position:
d [Å]	I_rel	h k l
10.139	100	0 0 1
5.069	15	0 0 2
5.007	21	1 0 -1
4.577	24	1 0 1
3.015	76	0 1 2
2.549	15	2 0 1
2.510	20	0 1 3
2.350	18	1 1 -3
2.210	23	1 1 3
2.186	18	2 1 -1
2.108	20	2 1 1
1.875	16	0 2 0



# 5
# Ce3Au
Computed powder XRD pattern, λ = 1.5418 Å (Cu Kα). Input: a GGA-PBE-relaxed structure.
Lines closer than 0.1° are merged.

Crystal structure
Lattice parameters (Å, degrees): 6.735 11.604 5.233 90.00 90.00 90.00
Space group Cmcm (No. 63)
One atom of each set of equivalent atoms:
Ce 0.000 0.179 0.250 (multiplicity 4)
Ce 0.231 0.410 0.250 (multiplicity 8)
Au 0.000 0.333 0.750 (multiplicity 4)

The 12 most intense peaks (2θ from 5° to 70°), sorted by position:
d [Å]	I_rel	h k l
2.912	24	2 2 0
2.901	12	0 4 0
2.616	37	0 0 2
2.545	100	2 2 1
2.537	50	0 4 1
1.945	23	2 2 2
1.684	9	4 0 0
1.677	18	2 6 0
1.496	29	2 2 3
1.416	10	4 0 2
1.412	20	2 6 2
1.403	14	4 4 1



# 6
# BaSmEuBiO6
Computed powder XRD pattern, λ = 1.5418 Å (Cu Kα). Input: a GGA-PBE-relaxed structure.
Lines closer than 0.1° are merged.

Crystal structure
Lattice parameters (Å, degrees): 6.130 6.264 8.751 90.10 90.26 90.10
Space group P-1 (No. 2)
One atom of each set of equivalent atoms:
Ba 0.012 0.043 0.250 (multiplicity 2)
Sm 0.000 0.500 0.500 (multiplicity 1)
Sm 0.500 0.000 0.000 (multiplicity 1)
Eu 0.490 0.551 0.251 (multiplicity 2)
Bi 0.000 0.500 0.000 (multiplicity 1)
Bi 0.500 0.000 0.500 (multiplicity 1)
O 0.114 0.514 0.758 (multiplicity 2)
O 0.206 0.779 0.051 (multiplicity 2)
O 0.220 0.790 0.450 (multiplicity 2)
O 0.299 0.314 0.055 (multiplicity 2)
O 0.317 0.301 0.447 (multiplicity 2)
O 0.424 0.045 0.743 (multiplicity 2)

The 12 most intense peaks (2θ from 5° to 70°), sorted by position:
d [Å]	I_rel	h k l
3.132	31	0 2 0
3.099	100	1 -1 2
3.088	32	1 1 2
3.065	32	2 0 0
2.190	47	0 0 4
1.802	16	1 3 -2
1.796	13	0 2 -4
1.785	8	2 0 -4
1.778	23	3 1 -2
1.773	16	3 1 2
1.551	9	2 2 -4
1.386	10	1 1 -6



# 7
# AgBiTe2
Computed powder XRD pattern, λ = 1.5418 Å (Cu Kα). Input: a GGA-PBE-relaxed structure.
Lines closer than 0.1° are merged.

Crystal structure
Lattice parameters (Å, degrees): 4.4228 4.4228 21.3943 90.00 90.00 120.00
Space group P-3m1 (No. 164)
One atom of each set of equivalent atoms:
Ag 0.0000 0.0000 0.0000 (multiplicity 1)
Ag 0.3333 0.6667 0.1383 (multiplicity 2)
Bi 0.0000 0.0000 0.5000 (multiplicity 1)
Bi 0.3333 0.6667 0.6891 (multiplicity 2)
Te 0.0000 0.0000 0.2282 (multiplicity 2)
Te 0.3333 0.6667 0.4122 (multiplicity 2)
Te 0.3333 0.6667 0.9202 (multiplicity 2)

The 12 most intense peaks (2θ from 5° to 70°), sorted by position:
d [Å]	I_rel	h k l
3.374	15	1 0 3
3.114	100	1 0 4
2.854	6	1 0 5
2.389	17	0 1 7
2.211	47	1 1 0
2.193	21	0 1 8
2.020	8	0 1 9
1.803	21	0 2 4
1.557	7	2 0 8
1.460	9	1 1 11
1.419	8	1 0 14
1.397	18	2 1 4



# 8
# Ca2Ta2TiO8
Computed powder XRD pattern, λ = 1.5418 Å (Cu Kα). Input: a GGA-PBE-relaxed structure.
Lines closer than 0.1° are merged.

Crystal structure
Lattice parameters (Å, degrees): 18.798 6.354 5.470 90.00 91.35 90.00
Space group C2/c (No. 15)
One atom of each set of equivalent atoms:
Ca 0.207 0.180 0.245 (multiplicity 8)
Ta 0.111 0.354 0.761 (multiplicity 8)
Ti 0.000 0.116 0.250 (multiplicity 4)
O 0.055 0.146 0.583 (multiplicity 8)
O 0.069 0.363 0.098 (multiplicity 8)
O 0.179 0.440 0.494 (multiplicity 8)
O 0.185 0.155 0.840 (multiplicity 8)

The 12 most intense peaks (2θ from 5° to 70°), sorted by position:
d [Å]	I_rel	h k l
6.019	67	1 1 0
4.698	79	4 0 0
4.461	41	3 1 0
4.063	64	1 1 -1
4.032	40	1 1 1
3.235	76	5 1 0
2.809	88	5 1 -1
2.760	74	5 1 1
2.747	100	0 2 1
2.734	61	0 0 2
2.359	50	4 2 1
1.845	43	5 3 0



Q: Which formula does entry 1 have?
A: Ti2AlSi3



Q: Which formula does entry 8 have?
A: Ca2Ta2TiO8